# Fe3Si2O8
Computed X-ray powder pattern, Cu Kα. Input: a crystal structure in the Materials Project, relaxed with PBE+U.
No peak broadening, texture or thermal motion is included.

Main lines, by angle (15° ≤ 2θ ≤ 90°):
2θ 17.52, I 37, (1 0 0); 2θ 19.54, I 37, (0 1 2); 2θ 20.10, I 39, (1 0 1); 2θ 20.76, I 88, (0 0 3); 2θ 21.12, I 49, (1 -1 1); 2θ 21.27, I 46, (1 1 -2); 2θ 23.88, I 38, (-1 1 2); 2θ 33.64, I 44, (0 2 3); 2θ 34.77, I 100, (1 -1 4); 2θ 34.96, I 54, (1 3 -2)

Structural model:
Lattice parameters (Å, degrees): 5.164 8.942 13.660 106.40 100.89 90.64
Space group P1 (No. 1)
Asymmetric unit:
Fe (0.000, 0.000, 0.000) [1 per cell]
Fe (0.002, 0.424, 0.318) [1 per cell]
Fe (0.205, 0.997, 0.663) [1 per cell]
Fe (0.277, 0.727, 0.809) [1 per cell]
Fe (0.614, 0.789, 0.523) [1 per cell]
Fe (0.669, 0.979, 0.363) [1 per cell]
Fe (0.678, 0.522, 0.671) [1 per cell]
Fe (0.926, 0.695, 0.165) [1 per cell]
Fe (0.931, 0.265, 0.852) [1 per cell]
Si (0.093, 0.056, 0.248) [1 per cell]
Si (0.119, 0.620, 0.568) [1 per cell]
Si (0.449, 0.093, 0.899) [1 per cell]
Si (0.481, 0.609, 0.271) [1 per cell]
Si (0.712, 0.144, 0.603) [1 per cell]
Si (0.855, 0.633, 0.914) [1 per cell]
O (0.010, 0.791, 0.572) [1 per cell]
O (0.018, 0.478, 0.880) [1 per cell]
O (0.036, 0.789, 0.914) [1 per cell]
O (0.038, 0.575, 0.670) [1 per cell]
O (0.156, 0.001, 0.131) [1 per cell]
O (0.161, 0.149, 0.937) [1 per cell]
O (0.282, 0.656, 0.178) [1 per cell]
O (0.348, 0.472, 0.306) [1 per cell]
O (0.357, 0.940, 0.796) [1 per cell]
O (0.364, 0.074, 0.334) [1 per cell]
O (0.449, 0.637, 0.592) [1 per cell]
O (0.497, 0.002, 0.592) [1 per cell]
O (0.559, 0.772, 0.371) [1 per cell]
O (0.583, 0.232, 0.866) [1 per cell]
O (0.585, 0.313, 0.622) [1 per cell]
O (0.607, 0.611, 0.812) [1 per cell]
O (0.644, 0.040, 0.989) [1 per cell]
O (0.767, 0.666, 0.026) [1 per cell]
O (0.772, 0.557, 0.237) [1 per cell]
O (0.846, 0.082, 0.500) [1 per cell]
O (0.895, 0.909, 0.257) [1 per cell]
O (0.924, 0.210, 0.271) [1 per cell]
O (0.944, 0.156, 0.709) [1 per cell]
O (0.982, 0.496, 0.459) [1 per cell]